For Ba5LiMo2N7Cl2, the GGA-PBE geometry in OQMD gives the simulated powder diffractogram in this record (Cu Kα X-rays).

Structure:
```
data_Ba5LiMo2N7Cl2
_chemical_formula_sum 'Ba10 Li2 Mo4 N14 Cl4'
_symmetry_space_group_name_H-M 'P 1 21/m 1'
_symmetry_Int_Tables_number 11
_symmetry_space_group_name_Hall '-P 2yb'
_cell_length_a 11.166
_cell_length_b 6.091
_cell_length_c 11.248
_cell_angle_alpha 90.00
_cell_angle_beta 95.84
_cell_angle_gamma 90.00
loop_
_atom_site_label
_atom_site_fract_x
_atom_site_fract_y
_atom_site_fract_z
Ba1 0.003 0.250 0.121
Ba2 0.125 0.750 0.561
Ba3 0.296 0.750 0.294
Ba4 0.308 0.250 0.887
Ba5 0.483 0.750 0.634
Li1 0.172 0.250 0.375
Mo1 0.027 0.250 0.726
Mo2 0.326 0.250 0.585
N1 0.060 0.504 0.327
N2 0.062 0.250 0.892
N3 0.180 0.250 0.662
N4 0.332 0.007 0.488
N5 0.453 0.250 0.707
Cl1 0.290 0.750 0.859
Cl2 0.294 0.250 0.166
```

Peak list (10 most intense, 2θ from 5° to 70°, in order of rising 2θ)
2theta  d_spacing  I (rel.)  index
7.91  11.179  69  0 0 1
23.62  3.766  65  2 1 1
24.04  3.703  30  3 0 0
24.39  3.650  48  1 0 -3
28.51  3.131  30  1 1 -3
28.65  3.116  32  3 1 -1
29.33  3.045  100  0 2 0
31.24  2.863  73  3 1 -2
33.67  2.662  48  2 1 3
38.50  2.338  39  1 2 -3

---

For PrOF, the GGA-PBE geometry in OQMD gives the simulated powder diffractogram in this record (Cu Kα X-rays).

Structure:
```
data_PrOF
_chemical_formula_sum 'Pr4 O4 F4'
_symmetry_space_group_name_H-M 'P 41 21 2'
_symmetry_Int_Tables_number 92
_symmetry_space_group_name_Hall 'P 4abw 2nw'
_cell_length_a 5.378
_cell_length_b 5.378
_cell_length_c 7.471
_cell_angle_alpha 90.00
_cell_angle_beta 90.00
_cell_angle_gamma 90.00
loop_
_atom_site_label
_atom_site_fract_x
_atom_site_fract_y
_atom_site_fract_z
Pr1 0.029 0.029 0.000
O1 0.179 0.821 0.250
F1 0.200 0.800 0.750
```

Peak list (10 most intense, 2θ from 5° to 70°, in order of rising 2θ)
2theta  d_spacing  I (rel.)  index
23.39  3.803  100  1 1 0
29.11  3.068  90  1 0 2
33.32  2.689  22  2 0 0
44.82  2.022  68  2 1 2
47.84  1.901  15  2 2 0
48.75  1.868  10  0 0 4
53.91  1.701  12  3 1 0
54.75  1.676  19  1 1 4
56.98  1.616  19  3 0 2
67.63  1.385  9  3 2 2